Structure and theoretical powder X-ray diffraction pattern of GaFe4 (a GGA-PBE-relaxed structure; copper Kα).
No peak broadening, texture or thermal motion is included.

Structure:
a b c (Å): 10.1106 10.0170 2.5365
angles (deg): 84.86 80.67 14.47
Fractional coordinates of all 5 atoms:
1 Ga 0.0000 0.0000 0.0000
2 Fe 0.2003 0.2003 0.7997
3 Fe 0.3982 0.3982 0.6018
4 Fe 0.6018 0.6018 0.3982
5 Fe 0.7997 0.7997 0.2003

Largest 7 diffraction maxima, most intense first, 2θ = 5–70°:
2theta, I (rel.)
43.76, 100.0
44.43, 23.9
45.81, 21.6
65.72, 13.5
61.47, 8.4
8.93, 1.1
39.59, 0.5